Structure and computed powder diffractogram of DyCo3P2 (the GGA-PBE geometry in Alexandria; Cu Kα (λ = 1.5418 Å)).

Top 8 peaks for 2θ = 10–80°, sorted by position:
- hkl 0 0 4, 29.4°, intensity 12
- hkl 1 3 2, 38.4°, intensity 100
- hkl 1 1 4, 39.3°, intensity 10
- hkl 0 2 5, 40.9°, intensity 13
- hkl 2 0 0, 49.4°, intensity 20
- hkl 0 3 6, 52.1°, intensity 12
- hkl 0 6 0, 52.2°, intensity 9
- hkl 2 6 0, 74.6°, intensity 14

Structure:
```
data_DyCo3P2
_chemical_formula_sum 'Dy6 Co18 P12'
_space_group_name_H-M_alt 'P m m n'
_space_group_IT_number 59
_cell_length_a 3.693
_cell_length_b 10.518
_cell_length_c 12.169
_cell_angle_alpha 90.00
_cell_angle_beta 90.00
_cell_angle_gamma 90.00
loop_
_space_group_symop_operation_xyz
'x,y,z'
'-x,-y,-z'
'-x+1/2,-y+1/2,z'
'x+1/2,y+1/2,-z'
'x+1/2,-y,-z'
'-x+1/2,y,z'
'-x,y+1/2,-z'
'x,-y+1/2,z'
loop_
_atom_site_label
_atom_site_type_symbol
_atom_site_fract_x
_atom_site_fract_y
_atom_site_fract_z
Dy1 Dy 0.250 0.067 0.206
Dy2 Dy 0.250 0.250 0.478
Co1 Co 0.250 0.129 0.710
Co2 Co 0.250 0.250 0.014
Co3 Co 0.250 0.547 0.431
Co4 Co 0.250 0.583 0.995
Co5 Co 0.250 0.750 0.159
Co6 Co 0.250 0.750 0.703
P1 P 0.250 0.097 0.893
P2 P 0.250 0.561 0.616
P3 P 0.250 0.750 0.344
P4 P 0.250 0.750 0.883
```

***

Structure and computed powder diffractogram of DyCo5P3 (the GGA-PBE geometry in Alexandria; Cu Kα (λ = 1.5418 Å)).

Top 8 peaks for 2θ = 10–80°, sorted by position:
- hkl 1 1 1, 27.0°, intensity 20
- hkl 2 0 3, 30.2°, intensity 15
- hkl 3 1 2, 38.0°, intensity 19
- hkl 2 1 3, 39.2°, intensity 100
- hkl 4 1 0, 39.4°, intensity 68
- hkl 4 0 3, 40.5°, intensity 26
- hkl 0 2 0, 50.1°, intensity 35
- hkl 6 0 3, 54.0°, intensity 22

Structure:
```
data_DyCo5P3
_chemical_formula_sum 'Dy4 Co20 P12'
_space_group_name_H-M_alt 'P n m a'
_space_group_IT_number 62
_cell_length_a 11.723
_cell_length_b 3.645
_cell_length_c 10.282
_cell_angle_alpha 90.00
_cell_angle_beta 90.00
_cell_angle_gamma 90.00
loop_
_space_group_symop_operation_xyz
'x,y,z'
'-x,-y,-z'
'-x+1/2,-y,z+1/2'
'x+1/2,y,-z+1/2'
'x+1/2,-y+1/2,-z+1/2'
'-x+1/2,y+1/2,z+1/2'
'-x,y+1/2,-z'
'x,-y+1/2,z'
loop_
_atom_site_label
_atom_site_type_symbol
_atom_site_fract_x
_atom_site_fract_y
_atom_site_fract_z
Dy1 Dy 0.203 0.250 0.083
Co1 Co 0.008 0.750 0.716
Co2 Co 0.012 0.750 0.093
Co3 Co 0.068 0.750 0.468
Co4 Co 0.176 0.250 0.779
Co5 Co 0.198 0.250 0.383
P1 P 0.109 0.750 0.898
P2 P 0.112 0.250 0.582
P3 P 0.130 0.750 0.271
```

***

Structure and computed powder diffractogram of DyPaCo2 (the GGA-PBE geometry in Alexandria; Cu Kα (λ = 1.5418 Å)).

Top 8 peaks for 2θ = 10–80°, sorted by position:
- hkl 1 1 0, 27.7°, intensity 85
- hkl 0 1 2, 33.8°, intensity 100
- hkl 1 1 -2, 34.0°, intensity 79
- hkl 2 0 0, 36.8°, intensity 51
- hkl 1 0 2, 37.0°, intensity 33
- hkl 0 2 0, 42.1°, intensity 53
- hkl 2 1 -2, 43.4°, intensity 36
- hkl 2 2 0, 57.2°, intensity 29

Structure:
```
data_DyPaCo2
_chemical_formula_sum 'Dy2 Pa2 Co4'
_space_group_name_H-M_alt 'P 1 21/m 1'
_space_group_IT_number 11
_cell_length_a 5.171
_cell_length_b 4.291
_cell_length_c 7.156
_cell_angle_alpha 90.00
_cell_angle_beta 109.25
_cell_angle_gamma 90.00
loop_
_space_group_symop_operation_xyz
'x,y,z'
'-x,-y,-z'
'-x,y+1/2,-z'
'x,-y+1/2,z'
loop_
_atom_site_label
_atom_site_type_symbol
_atom_site_fract_x
_atom_site_fract_y
_atom_site_fract_z
Dy1 Dy 0.241 0.250 0.435
Pa1 Pa 0.200 0.250 0.912
Co1 Co 0.310 0.750 0.148
Co2 Co 0.338 0.750 0.764
```

***

Structure and computed powder diffractogram of Pm2DyPaCo2 (the GGA-PBE geometry in Alexandria; Cu Kα (λ = 1.5418 Å)).

Top 8 peaks for 2θ = 10–80°, sorted by position:
- hkl 0 2 0, 13.8°, intensity 41
- hkl 0 4 0, 27.9°, intensity 30
- hkl 2 2 0, 29.5°, intensity 97
- hkl 0 2 2, 29.9°, intensity 100
- hkl 1 4 1, 33.6°, intensity 64
- hkl 2 0 2, 37.3°, intensity 100
- hkl 2 4 2, 47.2°, intensity 30
- hkl 2 2 4, 62.9°, intensity 23

Structure:
```
data_Pm2DyPaCo2
_chemical_formula_sum 'Pm8 Dy4 Pa4 Co8'
_space_group_name_H-M_alt 'I b a m'
_space_group_IT_number 72
_space_group_name_Hall '-I 2 2c'
_cell_length_a 6.858
_cell_length_b 12.809
_cell_length_c 6.769
_cell_angle_alpha 90.00
_cell_angle_beta 90.00
_cell_angle_gamma 90.00
loop_
_atom_site_label
_atom_site_type_symbol
_atom_site_fract_x
_atom_site_fract_y
_atom_site_fract_z
Pm1 Pm 0.213 0.200 0.000
Dy1 Dy 0.000 0.500 0.250
Pa1 Pa 0.000 0.000 0.250
Co1 Co 0.208 0.086 0.500
```

***

Structure and computed powder diffractogram of Dy8Co2Pb (the GGA-PBE geometry in Alexandria; Cu Kα (λ = 1.5418 Å)).

Top 8 peaks for 2θ = 10–80°, sorted by position:
- hkl 1 3 -1, 27.1°, intensity 39
- hkl 2 0 1, 30.4°, intensity 78
- hkl 0 4 1, 32.2°, intensity 100
- hkl 3 1 -1, 33.4°, intensity 69
- hkl 1 1 -2, 34.3°, intensity 49
- hkl 2 4 0, 34.6°, intensity 79
- hkl 3 3 0, 38.2°, intensity 33
- hkl 1 5 -1, 38.7°, intensity 29

Structure:
```
data_Dy8Co2Pb
_chemical_formula_sum 'Dy16 Co4 Pb2'
_space_group_name_H-M_alt 'C 1 2/m 1'
_space_group_IT_number 12
_cell_length_a 8.607
_cell_length_b 13.183
_cell_length_c 5.349
_cell_angle_alpha 90.00
_cell_angle_beta 103.42
_cell_angle_gamma 90.00
loop_
_space_group_symop_operation_xyz
'x,y,z'
'-x,-y,-z'
'-x,y,-z'
'x,-y,z'
'x+1/2,y+1/2,z'
'-x+1/2,-y+1/2,-z'
'-x+1/2,y+1/2,-z'
'x+1/2,-y+1/2,z'
loop_
_atom_site_label
_atom_site_type_symbol
_atom_site_fract_x
_atom_site_fract_y
_atom_site_fract_z
Dy1 Dy 0.000 0.249 0.000
Dy2 Dy 0.106 0.000 0.798
Dy3 Dy 0.202 0.369 0.572
Co1 Co 0.000 0.195 0.500
Pb1 Pb 0.000 0.500 0.000
```

***

Structure and computed powder diffractogram of Dy4CoPd (the GGA-PBE geometry in Alexandria; Cu Kα (λ = 1.5418 Å)).

Top 8 peaks for 2θ = 10–80°, sorted by position:
- hkl 0 0 2, 28.5°, intensity 20
- hkl 2 1 1, 32.6°, intensity 100
- hkl 1 1 2, 34.1°, intensity 18
- hkl 2 0 2, 39.0°, intensity 54
- hkl 3 1 0, 41.8°, intensity 23
- hkl 2 1 3, 53.1°, intensity 25
- hkl 4 1 1, 57.6°, intensity 32
- hkl 3 3 2, 65.2°, intensity 19

Structure:
```
data_Dy4CoPd
_chemical_formula_sum 'Dy8 Co2 Pd2'
_space_group_name_H-M_alt 'P 4/m c c'
_space_group_IT_number 124
_space_group_name_Hall '-P 4 2c'
_cell_length_a 6.827
_cell_length_b 6.827
_cell_length_c 6.265
_cell_angle_alpha 90.00
_cell_angle_beta 90.00
_cell_angle_gamma 90.00
loop_
_atom_site_label
_atom_site_type_symbol
_atom_site_fract_x
_atom_site_fract_y
_atom_site_fract_z
Dy1 Dy 0.171 0.309 0.000
Co1 Co 0.000 0.000 0.250
Pd1 Pd 0.500 0.500 0.250
```

***

Structure and computed powder diffractogram of Dy5CoPd2 (the GGA-PBE geometry in Alexandria; Cu Kα (λ = 1.5418 Å)).

Top 8 peaks for 2θ = 10–80°, sorted by position:
- hkl 1 2 1, 29.1°, intensity 54
- hkl 2 1 1, 32.1°, intensity 100
- hkl 1 4 0, 32.3°, intensity 58
- hkl 3 1 0, 33.6°, intensity 42
- hkl 1 3 1, 33.8°, intensity 63
- hkl 2 2 1, 34.8°, intensity 72
- hkl 0 4 1, 38.0°, intensity 30
- hkl 0 0 2, 45.3°, intensity 39

Structure:
```
data_Dy5CoPd2
_chemical_formula_sum 'Dy10 Co2 Pd4'
_space_group_name_H-M_alt 'P b a m'
_space_group_IT_number 55
_cell_length_a 8.218
_cell_length_b 11.774
_cell_length_c 4.000
_cell_angle_alpha 90.00
_cell_angle_beta 90.00
_cell_angle_gamma 90.00
loop_
_space_group_symop_operation_xyz
'x,y,z'
'-x,-y,-z'
'-x,-y,z'
'x,y,-z'
'x+1/2,-y+1/2,-z'
'-x+1/2,y+1/2,z'
'-x+1/2,y+1/2,-z'
'x+1/2,-y+1/2,z'
loop_
_atom_site_label
_atom_site_type_symbol
_atom_site_fract_x
_atom_site_fract_y
_atom_site_fract_z
Dy1 Dy 0.000 0.000 0.000
Dy2 Dy 0.155 0.303 0.000
Dy3 Dy 0.175 0.582 0.500
Co1 Co 0.000 0.500 0.000
Pd1 Pd 0.057 0.825 0.500
```

***

Structure and computed powder diffractogram of Dy8Co2Pd (the GGA-PBE geometry in Alexandria; Cu Kα (λ = 1.5418 Å)).

Top 8 peaks for 2θ = 10–80°, sorted by position:
- hkl 1 3 1, 31.0°, intensity 59
- hkl 1 1 -2, 31.3°, intensity 72
- hkl 2 0 1, 31.4°, intensity 91
- hkl 0 4 1, 33.1°, intensity 100
- hkl 3 1 -1, 34.1°, intensity 78
- hkl 0 2 2, 35.0°, intensity 44
- hkl 2 4 0, 37.1°, intensity 65
- hkl 1 5 -1, 40.2°, intensity 44

Structure:
```
data_Dy8Co2Pd
_chemical_formula_sum 'Dy16 Co4 Pd2'
_space_group_name_H-M_alt 'C 1 m 1'
_space_group_IT_number 8
_cell_length_a 8.191
_cell_length_b 12.351
_cell_length_c 5.896
_cell_angle_alpha 90.00
_cell_angle_beta 107.04
_cell_angle_gamma 90.00
loop_
_space_group_symop_operation_xyz
'x,y,z'
'x,-y,z'
'x+1/2,y+1/2,z'
'x+1/2,-y+1/2,z'
loop_
_atom_site_label
_atom_site_type_symbol
_atom_site_fract_x
_atom_site_fract_y
_atom_site_fract_z
Dy1 Dy 0.000 0.000 0.000
Dy2 Dy 0.075 0.367 0.788
Dy3 Dy 0.160 0.133 0.593
Dy4 Dy 0.238 0.500 0.379
Dy5 Dy 0.368 0.224 0.189
Co1 Co 0.367 0.308 0.689
Pd1 Pd 0.369 0.000 0.052
```

***

Structure and computed powder diffractogram of PmDy4Co4 (the GGA-PBE geometry in Alexandria; Cu Kα (λ = 1.5418 Å)).

Top 8 peaks for 2θ = 10–80°, sorted by position:
- hkl 2 1 1, 28.5°, intensity 80
- hkl 1 3 0, 33.5°, intensity 100
- hkl 1 0 2, 33.9°, intensity 65
- hkl 3 1 1, 37.3°, intensity 22
- hkl 1 2 2, 40.2°, intensity 27
- hkl 4 2 0, 48.1°, intensity 31
- hkl 2 3 2, 50.9°, intensity 29
- hkl 5 0 1, 56.8°, intensity 26

Structure:
```
data_PmDy4Co4
_chemical_formula_sum 'Pm2 Dy8 Co8'
_space_group_name_H-M_alt 'P 42/n'
_space_group_IT_number 86
_cell_length_a 8.464
_cell_length_b 8.464
_cell_length_c 5.564
_cell_angle_alpha 90.00
_cell_angle_beta 90.00
_cell_angle_gamma 90.00
loop_
_space_group_symop_operation_xyz
'x,y,z'
'-x,-y,-z'
'-y,x+1/2,z+1/2'
'y,-x+1/2,-z+1/2'
'-x+1/2,-y+1/2,z'
'x+1/2,y+1/2,-z'
'y+1/2,-x,z+1/2'
'-y+1/2,x,-z+1/2'
loop_
_atom_site_label
_atom_site_type_symbol
_atom_site_fract_x
_atom_site_fract_y
_atom_site_fract_z
Pm1 Pm 0.250 0.250 0.250
Dy1 Dy 0.064 0.673 0.134
Co1 Co 0.016 0.610 0.617
```

***

Structure and computed powder diffractogram of PmDy3Co (the GGA-PBE geometry in Alexandria; Cu Kα (λ = 1.5418 Å)).

Top 8 peaks for 2θ = 10–80°, sorted by position:
- hkl 1 1 -3, 29.8°, intensity 89
- hkl 2 1 1, 30.7°, intensity 100
- hkl 1 2 -2, 30.9°, intensity 62
- hkl 2 2 -1, 33.5°, intensity 43
- hkl 2 2 0, 34.1°, intensity 40
- hkl 3 0 -2, 35.4°, intensity 48
- hkl 1 0 -4, 36.2°, intensity 32
- hkl 0 3 1, 37.8°, intensity 33

Structure:
```
data_PmDy3Co
_chemical_formula_sum 'Pm4 Dy12 Co4'
_space_group_name_H-M_alt 'P 1 21/c 1'
_space_group_IT_number 14
_cell_length_a 7.830
_cell_length_b 7.375
_cell_length_c 9.927
_cell_angle_alpha 90.00
_cell_angle_beta 107.22
_cell_angle_gamma 90.00
loop_
_space_group_symop_operation_xyz
'x,y,z'
'-x,-y,-z'
'-x,y+1/2,-z+1/2'
'x,-y+1/2,z+1/2'
loop_
_atom_site_label
_atom_site_type_symbol
_atom_site_fract_x
_atom_site_fract_y
_atom_site_fract_z
Pm1 Pm 0.181 0.057 0.253
Dy1 Dy 0.090 0.699 0.035
Dy2 Dy 0.292 0.504 0.387
Dy3 Dy 0.424 0.128 0.612
Co1 Co 0.450 0.746 0.604
```

***

Structure and computed powder diffractogram of PrDyCo3 (the GGA-PBE geometry in Alexandria; Cu Kα (λ = 1.5418 Å)).

Top 8 peaks for 2θ = 10–80°, sorted by position:
- hkl 0 4 1, 27.4°, intensity 27
- hkl 1 3 1, 33.3°, intensity 100
- hkl 1 7 0, 34.3°, intensity 65
- hkl 2 0 0, 43.0°, intensity 28
- hkl 0 10 1, 45.3°, intensity 29
- hkl 0 0 2, 46.2°, intensity 22
- hkl 1 7 2, 58.8°, intensity 27
- hkl 2 10 1, 64.2°, intensity 20

Structure:
```
data_PrDyCo3
_chemical_formula_sum 'Pr4 Dy4 Co12'
_space_group_name_H-M_alt 'C m c m'
_space_group_IT_number 63
_space_group_name_Hall '-C 2c 2'
_cell_length_a 4.211
_cell_length_b 23.301
_cell_length_c 3.927
_cell_angle_alpha 90.00
_cell_angle_beta 90.00
_cell_angle_gamma 90.00
loop_
_atom_site_label
_atom_site_type_symbol
_atom_site_fract_x
_atom_site_fract_y
_atom_site_fract_z
Pr1 Pr 0.000 0.072 0.250
Dy1 Dy 0.000 0.206 0.750
Co1 Co 0.000 0.330 0.750
Co2 Co 0.000 0.377 0.250
Co3 Co 0.000 0.476 0.250
```